This entry pairs a crystal structure of PuAlFe with its calculated powder diffraction line list. Radiation: CuKα. Structure: a cell relaxed with GGA-PBE.
Lines closer than 0.1° are merged.

Structure:
```
PuAlFe
1.0
4.0216 -2.7532 0.0000
4.0216 2.7532 0.0000
0.0000 0.0000 9.9766
Pu Al Fe
4 4 4
Direct
0.2485 0.7515 0.8094
0.2515 0.7485 0.3094
0.7485 0.2515 0.6906
0.7515 0.2485 0.1906
0.2494 0.2494 0.5000
0.2506 0.2506 0.0000
0.7494 0.7494 0.0000
0.7506 0.7506 0.5000
0.2488 0.7512 0.0625
0.2512 0.7488 0.5625
0.7488 0.2512 0.4375
0.7512 0.2488 0.9375
```

Principal peaks in the range 2θ = 15–90°, by angle:
- 2θ = 22.1°, rel. 100
- 2θ = 26.5°, rel. 49
- 2θ = 32.5°, rel. 38
- 2θ = 39.7°, rel. 65
- 2θ = 41.3°, rel. 98
- 2θ = 52.8°, rel. 48